Entry 1:
# Zr2Se3S3
Calculated powder diffraction line list, Cu Kα (weighted mean of Kα1 and Kα2). Input: the PBE geometry in the Materials Project.
Lines closer than 0.1° are merged.

Top 12 peaks for 10 to 80 degrees two-theta, in order of rising 2θ:
| 2θ (°) | I (rel.) |
| --- | --- |
| 18.0 | 27 |
| 30.4 | 100 |
| 33.6 | 18 |
| 35.6 | 19 |
| 35.7 | 23 |
| 36.5 | 12 |
| 37.1 | 14 |
| 39.5 | 30 |
| 41.6 | 22 |
| 42.1 | 19 |
| 43.3 | 22 |
| 48.8 | 28 |

```
Zr2Se3S3
1.0
5.422 0.000 0.000
0.000 3.731 0.000
-1.040 0.000 9.552
Zr Se S
2 3 3
Direct
0.000 0.000 0.000
0.443 0.500 0.686
0.198 0.000 0.510
0.482 0.000 0.899
0.962 0.500 0.788
0.225 0.500 0.159
0.612 0.000 0.529
0.842 0.500 0.163
```

=====

Entry 2:
# SiS2
Calculated powder diffraction line list, Cu Kα (weighted mean of Kα1 and Kα2). Input: the PBE geometry in the Materials Project.
Lines closer than 0.1° are merged.

Top 12 peaks for 10 to 80 degrees two-theta, in order of rising 2θ:
| 2θ (°) | I (rel.) |
| --- | --- |
| 16.8 | 32 |
| 17.0 | 22 |
| 18.8 | 23 |
| 21.5 | 41 |
| 29.5 | 51 |
| 29.6 | 100 |
| 30.7 | 53 |
| 33.6 | 26 |
| 47.7 | 23 |
| 49.0 | 22 |
| 49.7 | 38 |
| 51.3 | 37 |

```
SiS2
1.0
7.445 0.000 0.000
0.000 7.628 0.000
-3.109 0.000 14.775
Si S
12 24
Direct
0.057 0.139 0.336
0.057 0.361 0.836
0.199 0.130 0.666
0.199 0.370 0.166
0.365 0.130 0.001
0.365 0.370 0.501
0.635 0.630 0.499
0.635 0.870 0.999
0.801 0.630 0.834
0.801 0.870 0.334
0.943 0.639 0.164
0.943 0.861 0.664
0.082 0.611 0.903
0.082 0.889 0.403
0.088 0.131 0.921
0.088 0.369 0.421
0.225 0.620 0.233
0.225 0.880 0.733
0.257 0.141 0.250
0.257 0.359 0.750
0.408 0.138 0.584
0.408 0.362 0.084
0.416 0.614 0.573
0.416 0.886 0.073
0.584 0.114 0.927
0.584 0.386 0.427
0.592 0.638 0.916
0.592 0.862 0.416
0.743 0.641 0.250
0.743 0.859 0.750
0.775 0.120 0.267
0.775 0.380 0.767
0.912 0.631 0.579
0.912 0.869 0.079
0.918 0.111 0.597
0.918 0.389 0.097
```

=====

Entry 3:
# SiS2
Calculated powder diffraction line list, Cu Kα (weighted mean of Kα1 and Kα2). Input: the PBE geometry in the Materials Project.
Lines closer than 0.1° are merged.

Top 12 peaks for 10 to 80 degrees two-theta, in order of rising 2θ:
| 2θ (°) | I (rel.) |
| --- | --- |
| 16.2 | 42 |
| 16.4 | 100 |
| 27.0 | 79 |
| 34.0 | 10 |
| 41.5 | 12 |
| 43.3 | 8 |
| 43.6 | 15 |
| 44.1 | 12 |
| 46.5 | 16 |
| 54.1 | 9 |
| 55.4 | 7 |
| 55.9 | 14 |

```
SiS2
1.0
-3.107 5.463 2.793
3.107 -5.463 2.793
3.107 5.463 -2.793
Si S
2 4
Direct
0.250 0.250 0.000
0.750 0.750 0.000
0.105 0.186 0.291
0.395 0.686 0.080
0.605 0.314 0.920
0.895 0.814 0.709
```

=====

Entry 4:
# SiS2
Calculated powder diffraction line list, Cu Kα (weighted mean of Kα1 and Kα2). Input: the PBE geometry in the Materials Project.
Lines closer than 0.1° are merged.

Top 12 peaks for 10 to 80 degrees two-theta, in order of rising 2θ:
| 2θ (°) | I (rel.) |
| --- | --- |
| 18.7 | 58 |
| 30.4 | 100 |
| 31.7 | 10 |
| 37.0 | 8 |
| 45.4 | 23 |
| 47.7 | 10 |
| 53.1 | 29 |
| 55.6 | 25 |
| 60.0 | 9 |
| 66.2 | 6 |
| 68.9 | 8 |
| 69.4 | 5 |

```
SiS2
1.0
-2.825 2.825 4.352
2.825 -2.825 4.352
2.825 2.825 -4.352
Si S
2 4
Direct
0.000 0.000 0.000
0.750 0.250 0.500
0.088 0.125 0.463
0.375 0.912 0.037
0.662 0.625 0.537
0.875 0.338 0.963
```

=====

Entry 5:
# SiS2
Calculated powder diffraction line list, Cu Kα (weighted mean of Kα1 and Kα2). Input: the PBE geometry in the Materials Project.
Lines closer than 0.1° are merged.

Top 12 peaks for 10 to 80 degrees two-theta, in order of rising 2θ:
| 2θ (°) | I (rel.) |
| --- | --- |
| 13.7 | 85 |
| 17.6 | 48 |
| 19.0 | 40 |
| 20.9 | 50 |
| 27.6 | 52 |
| 28.4 | 100 |
| 31.2 | 52 |
| 32.3 | 22 |
| 44.9 | 22 |
| 46.6 | 40 |
| 47.7 | 23 |
| 51.4 | 33 |

```
SiS2
1.0
6.715 0.000 0.000
0.000 8.080 0.000
-1.581 0.000 5.729
Si S
4 8
Direct
0.115 0.135 0.109
0.115 0.365 0.609
0.885 0.635 0.391
0.885 0.865 0.891
0.213 0.601 0.512
0.213 0.899 0.012
0.242 0.152 0.483
0.242 0.348 0.983
0.758 0.652 0.017
0.758 0.848 0.517
0.787 0.101 0.988
0.787 0.399 0.488
```

=====

Entry 6:
# SiS4
Calculated powder diffraction line list, Cu Kα (weighted mean of Kα1 and Kα2). Input: the PBE geometry in the Materials Project.
Lines closer than 0.1° are merged.

Top 12 peaks for 10 to 80 degrees two-theta, in order of rising 2θ:
| 2θ (°) | I (rel.) |
| --- | --- |
| 11.6 | 22 |
| 12.9 | 32 |
| 17.8 | 22 |
| 23.3 | 14 |
| 25.4 | 22 |
| 26.0 | 100 |
| 27.3 | 48 |
| 40.1 | 20 |
| 42.0 | 23 |
| 47.4 | 15 |
| 52.9 | 19 |
| 56.9 | 15 |

```
SiS4
1.0
6.882 0.000 0.000
0.000 4.711 0.000
-0.438 0.000 7.645
Si S
2 8
Direct
0.118 0.250 0.348
0.882 0.750 0.652
0.197 0.750 0.658
0.240 0.250 0.613
0.247 0.526 0.165
0.247 0.974 0.165
0.753 0.026 0.835
0.753 0.474 0.835
0.760 0.750 0.387
0.803 0.250 0.342
```

=====

Entry 7:
# Sm6Si4S17
Calculated powder diffraction line list, Cu Kα (weighted mean of Kα1 and Kα2). Input: the PBE geometry in the Materials Project.
Lines closer than 0.1° are merged.

Top 12 peaks for 10 to 80 degrees two-theta, in order of rising 2θ:
| 2θ (°) | I (rel.) |
| --- | --- |
| 19.5 | 39 |
| 20.6 | 75 |
| 21.1 | 74 |
| 21.8 | 45 |
| 22.1 | 44 |
| 22.4 | 100 |
| 22.8 | 41 |
| 33.4 | 50 |
| 35.6 | 36 |
| 36.6 | 33 |
| 37.9 | 52 |
| 41.4 | 35 |

```
Sm6Si4S17
1.0
8.938 0.000 0.000
0.175 9.890 0.000
0.658 1.953 14.029
Sm Si S
12 8 34
Direct
0.012 0.266 0.464
0.087 0.581 0.166
0.106 0.884 0.814
0.335 0.909 0.342
0.364 0.561 0.678
0.450 0.238 0.002
0.550 0.762 0.998
0.636 0.439 0.322
0.665 0.091 0.658
0.894 0.116 0.186
0.913 0.419 0.834
0.988 0.734 0.536
0.232 0.939 0.099
0.248 0.559 0.923
0.250 0.001 0.584
0.279 0.556 0.393
0.721 0.444 0.607
0.750 0.999 0.416
0.752 0.441 0.077
0.768 0.061 0.901
0.009 0.874 0.117
0.014 0.991 0.623
0.038 0.651 0.952
0.063 0.641 0.720
0.109 0.703 0.343
0.184 0.479 0.531
0.251 0.116 0.169
0.255 0.381 0.851
0.300 0.805 0.541
0.303 0.134 0.458
0.314 0.413 0.297
0.322 0.983 0.956
0.341 0.500 0.058
0.355 0.033 0.708
0.370 0.780 0.167
0.380 0.714 0.838
0.488 0.654 0.397
0.512 0.346 0.603
0.620 0.286 0.162
0.630 0.220 0.833
0.645 0.967 0.292
0.659 0.500 0.942
0.678 0.017 0.044
0.686 0.587 0.703
0.697 0.866 0.542
0.700 0.195 0.459
0.745 0.619 0.149
0.749 0.884 0.831
0.816 0.521 0.469
0.891 0.297 0.657
0.937 0.359 0.280
0.962 0.349 0.048
0.986 0.009 0.377
0.991 0.126 0.883
```

=====

Entry 8:
# SiSn2S4
Calculated powder diffraction line list, Cu Kα (weighted mean of Kα1 and Kα2). Input: the PBE geometry in the Materials Project.
Lines closer than 0.1° are merged.

Top 12 peaks for 10 to 80 degrees two-theta, in order of rising 2θ:
| 2θ (°) | I (rel.) |
| --- | --- |
| 16.1 | 65 |
| 19.3 | 50 |
| 21.0 | 80 |
| 23.9 | 100 |
| 24.8 | 50 |
| 27.5 | 74 |
| 30.2 | 52 |
| 30.9 | 36 |
| 31.8 | 58 |
| 32.0 | 57 |
| 34.0 | 39 |
| 39.1 | 46 |

```
SiSn2S4
1.0
8.338 0.000 0.000
0.000 8.465 0.000
-5.102 0.000 10.127
Si Sn S
4 8 16
Direct
0.207 0.213 0.020
0.207 0.287 0.520
0.793 0.713 0.480
0.793 0.787 0.980
0.050 0.654 0.803
0.050 0.846 0.303
0.494 0.744 0.109
0.494 0.756 0.609
0.506 0.244 0.391
0.506 0.256 0.891
0.950 0.154 0.697
0.950 0.346 0.197
0.046 0.681 0.101
0.046 0.819 0.601
0.199 0.120 0.195
0.199 0.380 0.695
0.252 0.036 0.900
0.252 0.464 0.400
0.434 0.135 0.584
0.434 0.365 0.084
0.566 0.635 0.916
0.566 0.865 0.416
0.748 0.536 0.600
0.748 0.964 0.100
0.801 0.620 0.305
0.801 0.880 0.805
0.954 0.181 0.399
0.954 0.319 0.899
```

=====

Entry 9:
# Sr2SiS4
Calculated powder diffraction line list, Cu Kα (weighted mean of Kα1 and Kα2). Input: the PBE geometry in the Materials Project.
Lines closer than 0.1° are merged.

Top 12 peaks for 10 to 80 degrees two-theta, in order of rising 2θ:
| 2θ (°) | I (rel.) |
| --- | --- |
| 19.3 | 54 |
| 26.3 | 31 |
| 26.7 | 49 |
| 30.2 | 100 |
| 33.1 | 95 |
| 35.2 | 79 |
| 39.1 | 47 |
| 43.7 | 29 |
| 44.9 | 21 |
| 51.3 | 26 |
| 57.1 | 17 |
| 60.1 | 28 |

```
Sr2SiS4
1.0
6.680 0.000 0.000
0.000 6.687 0.000
-2.570 0.000 7.876
Sr Si S
4 2 8
Direct
0.222 0.250 0.051
0.267 0.250 0.568
0.733 0.750 0.432
0.778 0.750 0.949
0.223 0.750 0.799
0.777 0.250 0.201
0.012 0.502 0.740
0.012 0.998 0.740
0.390 0.750 0.064
0.414 0.750 0.634
0.586 0.250 0.366
0.610 0.250 0.936
0.988 0.002 0.260
0.988 0.498 0.260
```

=====

Entry 10:
# Tb12Si5S28
Calculated powder diffraction line list, Cu Kα (weighted mean of Kα1 and Kα2). Input: the PBE geometry in the Materials Project.
Lines closer than 0.1° are merged.

Top 12 peaks for 10 to 80 degrees two-theta, in order of rising 2θ:
| 2θ (°) | I (rel.) |
| --- | --- |
| 18.7 | 31 |
| 20.8 | 34 |
| 23.8 | 30 |
| 26.1 | 100 |
| 27.7 | 22 |
| 31.2 | 20 |
| 35.3 | 19 |
| 36.5 | 32 |
| 38.1 | 32 |
| 41.3 | 39 |
| 42.2 | 28 |
| 51.7 | 22 |

```
Tb12Si5S28
1.0
9.849 0.000 0.000
4.923 10.262 0.000
4.922 3.871 9.513
Tb Si S
12 5 28
Direct
0.000 0.000 0.000
0.001 0.513 0.468
0.087 0.231 0.185
0.101 0.698 0.699
0.214 0.573 0.065
0.236 0.082 0.545
0.504 0.952 0.950
0.519 0.469 0.425
0.642 0.336 0.797
0.649 0.808 0.303
0.730 0.037 0.501
0.740 0.527 0.019
0.202 0.348 0.744
0.203 0.853 0.250
0.535 0.770 0.662
0.536 0.271 0.160
0.870 0.995 0.770
0.008 0.991 0.547
0.034 0.503 0.999
0.105 0.842 0.837
0.127 0.329 0.337
0.202 0.165 0.931
0.202 0.667 0.433
0.283 0.811 0.062
0.290 0.310 0.556
0.339 0.974 0.221
0.355 0.459 0.708
0.390 0.802 0.547
0.395 0.302 0.042
0.449 0.458 0.201
0.451 0.959 0.701
0.529 0.593 0.852
0.542 0.079 0.338
0.607 0.682 0.180
0.643 0.150 0.704
0.708 0.508 0.515
0.720 0.003 0.998
0.764 0.273 0.014
0.764 0.773 0.518
0.770 0.299 0.306
0.783 0.810 0.806
0.958 0.175 0.729
0.964 0.715 0.215
0.973 0.492 0.739
0.977 0.003 0.251
```